Structure and theoretical powder diffraction line list of LaPr3Er3 (a cell relaxed with PBE; Cu Kα).
Intensities are scaled so that the largest is 100.

Largest 8 diffraction maxima, low angle first, 5 to 70 degrees two-theta:
d 3.186, I 24, (2 1 0)
d 2.920, I 25, (0 0 2)
d 2.797, I 100, (2 1 1)
d 2.153, I 16, (2 1 2)
d 1.839, I 19, (1 4 0)
d 1.661, I 21, (2 1 3)
d 1.556, I 23, (1 4 2)
d 1.537, I 16, (4 2 1)

Crystal structure
```
data_LaPr3Er3
_cell_length_a 9.7333
_cell_length_b 9.7333
_cell_length_c 5.8409
_cell_angle_alpha 90.00
_cell_angle_beta 90.00
_cell_angle_gamma 120.00
_space_group_name_H-M_alt 'P 1'
_space_group_IT_number 1
loop_
_space_group_symop_operation_xyz
'x,y,z'
loop_
_atom_site_label
_atom_site_type_symbol
_atom_site_fract_x
_atom_site_fract_y
_atom_site_fract_z
La1 La 0.3333 0.6667 0.2500
La2 La 0.6667 0.3333 0.7500
Pr1 Pr 0.0953 0.4734 0.7500
Pr2 Pr 0.3781 0.9047 0.7500
Pr3 Pr 0.4734 0.3781 0.2500
Pr4 Pr 0.5266 0.6219 0.7500
Pr5 Pr 0.6219 0.0953 0.2500
Pr6 Pr 0.9047 0.5266 0.2500
Er1 Er 0.0450 0.2299 0.2500
Er2 Er 0.1849 0.9550 0.2500
Er3 Er 0.2299 0.1849 0.7500
Er4 Er 0.7701 0.8151 0.2500
Er5 Er 0.8151 0.0450 0.7500
Er6 Er 0.9550 0.7701 0.7500
```